No. 1
For Mg6SiB, a DFT-relaxed cell (GGA-PBE, the Materials Project) gives the calculated powder XRD pattern in this record (CuKα).
No peak broadening, texture or thermal motion is included.

Principal peaks in the range 2θ from 10° to 90°, low angle first:
2theta	d_spacing	Rel. int.	h k l
26.29	3.390	9.4	1 1 1
33.69	2.660	21.3	0 3 1
36.81	2.442	100.0	1 2 2
39.05	2.307	32.7	1 1 3
40.51	2.227	22.1	0 0 4
43.28	2.091	9.9	0 4 0
44.41	2.040	21.9	2 0 0
56.88	1.619	9.1	2 3 1
61.68	1.504	8.7	2 0 4
76.74	1.242	10.5	3 2 2

Unit cell a=4.080 b=8.362 c=8.903 alpha=90.00 beta=90.00 gamma=90.00
Space group Amm2 (No. 38)
Asymmetric unit:
Mg  0.000  0.000  0.000
Mg  0.000  0.000  0.400
Mg  0.000  0.175  0.711
Mg  0.500  0.248  0.955
Si  0.500  0.000  0.206
B  0.500  0.000  0.808



No. 2
For CsMg6W, a DFT-relaxed cell (GGA-PBE, the Materials Project) gives the calculated powder XRD pattern in this record (CuKα).
No peak broadening, texture or thermal motion is included.

Principal peaks in the range 2θ from 10° to 90°, low angle first:
2theta	d_spacing	Rel. int.	h k l
15.29	5.793	85.3	0 1 1
22.85	3.891	48.0	1 1 1
23.07	3.855	53.5	1 0 2
26.46	3.368	20.4	0 2 0
31.52	2.838	25.7	0 0 4
32.04	2.794	33.0	1 1 3
34.14	2.626	32.0	2 0 0
35.39	2.536	100.0	1 2 2
37.60	2.392	19.1	2 1 1
61.93	1.498	19.4	3 2 2

Unit cell a=5.253 b=6.736 c=11.353 alpha=90.00 beta=90.00 gamma=90.00
Space group Amm2 (No. 38)
Asymmetric unit:
Cs  0.000  0.000  0.000
Mg  0.000  0.000  0.473
Mg  0.000  0.213  0.743
Mg  0.500  0.000  0.307
Mg  0.500  0.221  0.570
W  0.500  0.000  0.782



No. 3
For CaEu3, a DFT-relaxed cell (GGA-PBE, the Materials Project) gives the calculated powder XRD pattern in this record (CuKα).
No peak broadening, texture or thermal motion is included.

Principal peaks in the range 2θ from 10° to 90°, low angle first:
2theta	d_spacing	Rel. int.	h k l
17.82	4.977	13.0	1 0 1
27.64	3.227	100.0	1 1 2
31.27	2.860	18.2	0 0 4
32.40	2.764	33.2	2 0 0
45.65	1.988	25.4	2 0 4
46.47	1.954	12.1	2 2 0
53.47	1.714	15.8	1 1 6
54.93	1.672	29.2	3 1 2
57.08	1.614	13.0	2 2 4
73.50	1.289	12.3	3 1 6

Unit cell a=5.527 b=5.527 c=11.442 alpha=90.00 beta=90.00 gamma=90.00
Space group I4/mmm (No. 139)
Asymmetric unit:
Ca  0.000  0.000  0.000
Eu  0.000  0.000  0.500
Eu  0.000  0.500  0.250



Repeat the first record exactly.
For Mg6SiB, a DFT-relaxed cell (GGA-PBE, the Materials Project) gives the calculated powder XRD pattern in this record (CuKα).
No peak broadening, texture or thermal motion is included.

Principal peaks in the range 2θ from 10° to 90°, low angle first:
2theta	d_spacing	Rel. int.	h k l
26.29	3.390	9.4	1 1 1
33.69	2.660	21.3	0 3 1
36.81	2.442	100.0	1 2 2
39.05	2.307	32.7	1 1 3
40.51	2.227	22.1	0 0 4
43.28	2.091	9.9	0 4 0
44.41	2.040	21.9	2 0 0
56.88	1.619	9.1	2 3 1
61.68	1.504	8.7	2 0 4
76.74	1.242	10.5	3 2 2

Unit cell a=4.080 b=8.362 c=8.903 alpha=90.00 beta=90.00 gamma=90.00
Space group Amm2 (No. 38)
Asymmetric unit:
Mg  0.000  0.000  0.000
Mg  0.000  0.000  0.400
Mg  0.000  0.175  0.711
Mg  0.500  0.248  0.955
Si  0.500  0.000  0.206
B  0.500  0.000  0.808